No. 1
Calculated PXRD pattern of LaCe2Ta3N8 for Cu Kα (weighted mean of Kα1 and Kα2), from the PBE geometry in Alexandria.
Peak positions follow from Bragg's law for the DFT cell and can differ from measured ones.

Structure:
Cell lengths 6.789, 6.789, 6.789 Å; angles 57.10, 57.10, 57.10 degrees
Atoms (fractional coordinates):
La 0.000 0.000 0.000
Ce 0.248 0.248 0.248
Ce 0.625 0.625 0.625
Ta 0.123 0.626 0.626
Ta 0.626 0.123 0.626
Ta 0.626 0.626 0.123
N 0.379 0.379 0.826
N 0.379 0.826 0.379
N 0.391 0.391 0.391
N 0.432 0.869 0.869
N 0.826 0.379 0.379
N 0.857 0.857 0.857
N 0.869 0.432 0.869
N 0.869 0.869 0.432

Most intense lines, 2θ from 10° to 90°, by angle:
2θ (°)	intensity
26.31	33
30.75	55
31.60	21
31.79	100
32.29	63
33.59	55
38.41	28
49.64	23
50.69	31
51.38	26
54.14	45
56.74	40



No. 2
Calculated PXRD pattern of LaCe2WN5 for Cu Kα (weighted mean of Kα1 and Kα2), from the PBE geometry in Alexandria.
Peak positions follow from Bragg's law for the DFT cell and can differ from measured ones.

Structure:
Cell lengths 6.741, 6.741, 5.874 Å; angles 90.00, 90.00, 90.00 degrees
Atoms (fractional coordinates):
La 0.000 0.000 0.000
La 0.500 0.500 0.000
Ce 0.171 0.329 0.500
Ce 0.329 0.829 0.500
Ce 0.671 0.171 0.500
Ce 0.829 0.671 0.500
W 0.000 0.500 0.000
W 0.500 0.000 0.000
N 0.000 0.000 0.500
N 0.145 0.645 0.237
N 0.145 0.645 0.763
N 0.355 0.145 0.237
N 0.355 0.145 0.763
N 0.500 0.500 0.500
N 0.645 0.855 0.237
N 0.645 0.855 0.763
N 0.855 0.355 0.237
N 0.855 0.355 0.763

Most intense lines, 2θ from 10° to 90°, by angle:
2θ (°)	intensity
29.63	14
30.43	37
30.58	100
33.41	33
37.74	24
42.99	22
45.25	11
49.23	22
54.17	21
56.83	14
63.71	11
70.18	13



No. 3
Calculated PXRD pattern of La2CeWN5 for Cu Kα (weighted mean of Kα1 and Kα2), from the PBE geometry in Alexandria.
Peak positions follow from Bragg's law for the DFT cell and can differ from measured ones.

Structure:
Cell lengths 6.748, 6.748, 6.134 Å; angles 90.00, 90.00, 90.00 degrees
Atoms (fractional coordinates):
La 0.167 0.333 0.000
La 0.333 0.833 0.000
La 0.667 0.167 0.000
La 0.833 0.667 0.000
Ce 0.000 0.000 0.500
Ce 0.500 0.500 0.500
W 0.000 0.500 0.500
W 0.500 0.000 0.500
N 0.000 0.000 0.000
N 0.147 0.647 0.279
N 0.147 0.647 0.721
N 0.353 0.147 0.279
N 0.353 0.147 0.721
N 0.500 0.500 0.000
N 0.647 0.853 0.279
N 0.647 0.853 0.721
N 0.853 0.353 0.279
N 0.853 0.353 0.721

Most intense lines, 2θ from 10° to 90°, by angle:
2θ (°)	intensity
29.12	43
29.60	14
30.23	100
33.08	36
37.70	24
40.57	13
42.00	24
44.98	12
48.33	22
52.31	24
56.58	17
69.41	14



No. 4
Calculated PXRD pattern of La4Ce3YN8 for Cu Kα (weighted mean of Kα1 and Kα2), from the PBE geometry in Alexandria.
Peak positions follow from Bragg's law for the DFT cell and can differ from measured ones.

Structure:
Cell lengths 7.296, 7.296, 7.296 Å; angles 59.60, 59.60, 59.60 degrees
Atoms (fractional coordinates):
La 0.000 0.000 0.000
La 0.000 0.500 0.500
La 0.500 0.000 0.500
La 0.500 0.500 0.000
Ce 0.000 0.000 0.500
Ce 0.000 0.500 0.000
Ce 0.500 0.000 0.000
Y 0.500 0.500 0.500
N 0.241 0.744 0.744
N 0.242 0.242 0.242
N 0.256 0.256 0.759
N 0.256 0.759 0.256
N 0.744 0.241 0.744
N 0.744 0.744 0.241
N 0.758 0.758 0.758
N 0.759 0.256 0.256

Most intense lines, 2θ from 10° to 90°, by angle:
2θ (°)	intensity
29.91	33
30.16	97
34.89	100
50.01	35
50.34	34
59.37	15
59.66	30
59.81	15
62.71	17
81.88	12
83.94	15
84.45	15



No. 5
Calculated PXRD pattern of NaLa2CeTe4 for Cu Kα (weighted mean of Kα1 and Kα2), from the PBE geometry in Alexandria.
Peak positions follow from Bragg's law for the DFT cell and can differ from measured ones.

Structure:
Cell lengths 7.887, 4.549, 7.936 Å; angles 90.00, 109.34, 90.00 degrees
Atoms (fractional coordinates):
Na 0.000 0.000 0.000
La 0.500 0.000 0.500
La 0.500 0.500 0.000
Ce 0.000 0.500 0.500
Te 0.245 0.000 0.750
Te 0.246 0.500 0.249
Te 0.754 0.500 0.751
Te 0.755 0.000 0.250

Most intense lines, 2θ from 10° to 90°, by angle:
2θ (°)	intensity
11.85	6
27.65	100
39.40	39
39.60	38
48.63	7
48.98	20
57.09	13
64.45	18
64.74	17
71.30	7
71.72	13
71.85	6



No. 6
Calculated PXRD pattern of La4CeNd10 for Cu Kα (weighted mean of Kα1 and Kα2), from the PBE geometry in Alexandria.
Peak positions follow from Bragg's law for the DFT cell and can differ from measured ones.

Structure:
Cell lengths 9.150, 9.150, 9.150 Å; angles 101.24, 101.24, 127.61 degrees
Atoms (fractional coordinates):
La 0.226 0.226 0.451
La 0.226 0.774 0.000
La 0.774 0.226 0.000
La 0.774 0.774 0.549
Ce 0.000 0.000 0.000
Nd 0.082 0.290 0.792
Nd 0.250 0.750 0.500
Nd 0.290 0.082 0.792
Nd 0.290 0.498 0.208
Nd 0.498 0.290 0.208
Nd 0.502 0.710 0.792
Nd 0.710 0.502 0.792
Nd 0.710 0.918 0.208
Nd 0.750 0.250 0.500
Nd 0.918 0.710 0.208

Most intense lines, 2θ from 10° to 90°, by angle:
2θ (°)	intensity
24.24	24
26.89	51
29.87	51
30.80	100
31.06	97
32.97	42
34.18	26
39.79	52
44.12	23
52.00	26
64.53	24
65.43	34